Entry 1:
Theoretical powder XRD pattern of RbPrTe4 for Cu Kα (λ = 1.5418 Å), from a crystal structure in the Materials Project, relaxed with PBE.
Intensities are scaled so that the largest is 1000.

The 10 most intense peaks (2θ from 5° to 70°), low angle first:
two_theta	Rel. int.
9.46	484
26.23	831
30.14	1000
31.97	341
34.51	203
40.84	640
48.64	296
56.18	237
57.36	159
59.47	177

abc: 6.9914 6.9914 9.3515
angles: 90.00 90.00 90.00
Fractional coordinates of all 12 atoms:
Rb  0.2500  0.2500  0.0000
Rb  0.7500  0.7500  0.0000
Pr  0.2500  0.2500  0.5000
Pr  0.7500  0.7500  0.5000
Te  0.1068  0.6068  0.2936
Te  0.1068  0.8932  0.7064
Te  0.3932  0.6068  0.7064
Te  0.3932  0.8932  0.2936
Te  0.6068  0.1068  0.7064
Te  0.6068  0.3932  0.2936
Te  0.8932  0.1068  0.2936
Te  0.8932  0.3932  0.7064



Entry 2:
Theoretical powder XRD pattern of Pr4Re for Cu Kα (λ = 1.5418 Å), from a crystal structure in the Materials Project, relaxed with PBE.
Intensities are scaled so that the largest is 1000.

The 10 most intense peaks (2θ from 5° to 70°), low angle first:
two_theta	Rel. int.
22.25	308
26.15	130
27.34	1000
31.67	221
34.60	273
39.04	115
41.52	230
45.40	625
53.81	388
67.88	102

abc: 7.9915 7.9915 7.9915
angles: 60.00 60.00 60.00
Fractional coordinates of all 10 atoms:
Pr  0.2162  0.7613  0.7613
Pr  0.2387  0.2387  0.2387
Pr  0.2387  0.2387  0.7838
Pr  0.2387  0.7838  0.2387
Pr  0.7613  0.2162  0.7613
Pr  0.7613  0.7613  0.2162
Pr  0.7613  0.7613  0.7613
Pr  0.7838  0.2387  0.2387
Re  0.3750  0.3750  0.3750
Re  0.6250  0.6250  0.6250